Entry 1:
Rb3Pu2Br9: simulated powder diffraction line list (Cu Kα (weighted mean of Kα1 and Kα2)), based on the GGA-PBE geometry in Alexandria.

Peak list (12 most intense, 2θ = 10–80°, by angle)
d/Å  2θ/deg  I_rel
7.609  11.63  19
6.917  12.80  84
4.555  19.49  24
3.993  22.26  32
3.804  23.38  16
3.060  29.18  100
2.966  30.13  22
2.754  32.51  21
2.614  34.30  24
2.381  37.78  52
1.997  45.43  40
1.850  49.26  22

Structural model:
```
Rb3Pu2Br9
1.0
6.917 3.993 6.567
-6.917 3.993 6.567
0.000 -7.987 6.567
Rb Pu Br
6 4 18
Direct
0.084 0.750 0.416
0.250 0.584 0.916
0.416 0.084 0.750
0.584 0.916 0.250
0.750 0.416 0.084
0.916 0.250 0.584
0.150 0.150 0.150
0.350 0.350 0.350
0.650 0.650 0.650
0.850 0.850 0.850
0.071 0.272 0.913
0.087 0.929 0.728
0.092 0.408 0.250
0.228 0.429 0.587
0.250 0.092 0.408
0.272 0.913 0.071
0.408 0.250 0.092
0.413 0.772 0.571
0.429 0.587 0.228
0.571 0.413 0.772
0.587 0.228 0.429
0.592 0.750 0.908
0.728 0.087 0.929
0.750 0.908 0.592
0.772 0.571 0.413
0.908 0.592 0.750
0.913 0.071 0.272
0.929 0.728 0.087
```

=====

Entry 2:
Rb3PuBr6: simulated powder diffraction line list (Cu Kα (weighted mean of Kα1 and Kα2)), based on the GGA-PBE geometry in Alexandria.

Peak list (12 most intense, 2θ = 10–80°, by angle)
d/Å  2θ/deg  I_rel
7.028  12.60  57
6.719  13.18  52
5.979  14.82  56
4.196  21.17  100
3.538  25.17  72
2.990  29.89  60
2.945  30.35  30
2.751  32.55  35
2.667  33.61  34
2.444  36.78  31
2.382  37.76  69
2.011  45.09  27

Structural model:
```
Rb3PuBr6
1.0
8.184 0.000 0.000
0.000 8.757 0.000
-8.160 0.000 11.779
Rb Pu Br
6 2 12
Direct
0.000 0.000 0.000
0.000 0.500 0.500
0.219 0.075 0.749
0.219 0.425 0.249
0.781 0.575 0.751
0.781 0.925 0.251
0.500 0.000 0.500
0.500 0.500 0.000
0.158 0.181 0.438
0.158 0.319 0.938
0.262 0.724 0.429
0.262 0.776 0.929
0.402 0.056 0.275
0.402 0.444 0.775
0.598 0.556 0.225
0.598 0.944 0.725
0.738 0.224 0.071
0.738 0.276 0.571
0.842 0.681 0.062
0.842 0.819 0.562
```

=====

Entry 3:
Rb3Pu4Br12: simulated powder diffraction line list (Cu Kα (weighted mean of Kα1 and Kα2)), based on the GGA-PBE geometry in Alexandria.

Peak list (12 most intense, 2θ = 10–80°, by angle)
d/Å  2θ/deg  I_rel
5.803  15.27  100
4.103  21.66  77
3.102  28.78  14
2.901  30.82  81
2.595  34.56  58
2.369  37.98  62
2.052  44.14  48
1.934  46.98  25
1.835  49.69  19
1.551  59.62  31
1.407  66.43  14
1.368  68.62  28

Structural model:
```
Rb3Pu4Br12
1.0
-5.803 5.803 5.803
5.803 -5.803 5.803
5.803 5.803 -5.803
Rb Pu Br
3 4 12
Direct
0.000 0.500 0.500
0.500 0.000 0.500
0.500 0.500 0.000
0.000 0.000 0.500
0.000 0.500 0.000
0.500 0.000 0.000
0.500 0.500 0.500
0.073 0.293 0.780
0.220 0.513 0.293
0.220 0.927 0.707
0.293 0.220 0.513
0.293 0.780 0.073
0.487 0.707 0.780
0.513 0.293 0.220
0.707 0.220 0.927
0.707 0.780 0.487
0.780 0.073 0.293
0.780 0.487 0.707
0.927 0.707 0.220
```

=====

Entry 4:
PuTl2S2Br2: simulated powder diffraction line list (Cu Kα (weighted mean of Kα1 and Kα2)), based on the GGA-PBE geometry in Alexandria.

Peak list (12 most intense, 2θ = 10–80°, by angle)
d/Å  2θ/deg  I_rel
8.525  10.38  28
3.847  23.12  53
3.696  24.08  100
2.856  31.32  66
2.793  32.05  18
2.614  34.31  57
2.162  41.78  24
1.928  47.14  43
1.847  49.33  34
1.652  55.62  36
1.551  59.63  18
1.306  72.33  16

Structural model:
```
PuTl2S2Br2
1.0
-2.614 2.614 8.525
2.614 -2.614 8.525
2.614 2.614 -8.525
Pu Tl S Br
1 2 2 2
Direct
0.000 0.000 0.000
0.373 0.373 0.000
0.627 0.627 0.000
0.000 0.500 0.500
0.500 0.000 0.500
0.167 0.167 0.000
0.833 0.833 0.000
```

=====

Entry 5:
PuSiBr: simulated powder diffraction line list (Cu Kα (weighted mean of Kα1 and Kα2)), based on the GGA-PBE geometry in Alexandria.

Peak list (12 most intense, 2θ = 10–80°, by angle)
d/Å  2θ/deg  I_rel
5.575  15.90  40
3.475  25.64  89
3.420  26.05  12
2.820  31.73  100
2.681  33.42  54
2.414  37.25  17
2.296  39.24  19
2.017  44.94  51
1.858  49.02  11
1.744  52.45  13
1.642  56.02  13
1.272  74.60  12

Structural model:
```
PuSiBr
1.0
3.494 -2.017 0.000
3.494 2.017 0.000
-2.372 0.000 11.150
Pu Si Br
2 2 2
Direct
0.060 0.060 0.178
0.940 0.940 0.822
0.338 0.338 0.015
0.662 0.662 0.985
0.217 0.217 0.657
0.783 0.783 0.343
```

=====

Entry 6:
PuSnBr6: simulated powder diffraction line list (Cu Kα (weighted mean of Kα1 and Kα2)), based on the GGA-PBE geometry in Alexandria.

Peak list (12 most intense, 2θ = 10–80°, by angle)
d/Å  2θ/deg  I_rel
6.400  13.84  62
5.229  16.96  66
4.072  21.83  26
3.027  29.51  100
2.864  31.23  36
2.614  34.30  14
2.342  38.43  37
2.199  41.05  14
2.148  42.07  15
2.133  42.37  16
2.080  43.50  55
1.744  52.46  14

Structural model:
```
PuSnBr6
1.0
3.583 -6.400 0.000
3.583 6.400 0.000
-2.004 0.000 6.867
Pu Sn Br
1 1 6
Direct
0.000 0.000 0.000
0.500 0.500 0.500
0.085 0.383 0.240
0.246 0.246 0.764
0.383 0.085 0.240
0.617 0.915 0.760
0.754 0.754 0.236
0.915 0.617 0.760
```

=====

Entry 7:
SrPuTl2Br6: simulated powder diffraction line list (Cu Kα (weighted mean of Kα1 and Kα2)), based on the GGA-PBE geometry in Alexandria.

Peak list (12 most intense, 2θ = 10–80°, by angle)
d/Å  2θ/deg  I_rel
5.108  17.36  44
4.045  21.97  98
4.023  22.10  100
3.373  26.43  54
2.857  31.30  69
2.847  31.42  63
2.771  32.30  43
2.633  34.06  39
2.564  34.99  66
2.356  38.20  40
2.284  39.45  52
2.272  39.67  62

Structural model:
```
SrPuTl2Br6
1.0
7.806 0.000 0.000
0.000 8.389 0.000
-7.718 0.000 11.390
Sr Pu Tl Br
2 2 4 12
Direct
0.000 0.000 0.000
0.000 0.500 0.500
0.500 0.000 0.500
0.500 0.500 0.000
0.286 0.087 0.753
0.286 0.413 0.253
0.714 0.587 0.747
0.714 0.913 0.247
0.126 0.038 0.253
0.126 0.462 0.753
0.250 0.691 0.062
0.250 0.809 0.562
0.380 0.195 0.061
0.380 0.305 0.561
0.620 0.695 0.439
0.620 0.805 0.939
0.750 0.191 0.438
0.750 0.309 0.938
0.874 0.538 0.247
0.874 0.962 0.747
```

=====

Entry 8:
PuThBr5: simulated powder diffraction line list (Cu Kα (weighted mean of Kα1 and Kα2)), based on the GGA-PBE geometry in Alexandria.

Peak list (12 most intense, 2θ = 10–80°, by angle)
d/Å  2θ/deg  I_rel
7.509  11.79  74
7.188  12.31  100
5.604  15.81  36
4.150  21.41  33
3.453  25.80  55
3.389  26.29  34
3.072  29.07  66
2.640  33.96  66
2.585  34.70  56
2.545  35.27  36
2.201  41.01  36
1.945  46.70  43

Structural model:
```
PuThBr5
1.0
7.983 0.000 0.000
0.000 3.890 0.000
-0.731 0.000 15.017
Pu Th Br
2 2 10
Direct
0.089 0.250 0.139
0.911 0.750 0.861
0.498 0.750 0.297
0.502 0.250 0.703
0.146 0.250 0.773
0.196 0.750 0.004
0.221 0.250 0.339
0.336 0.750 0.579
0.471 0.250 0.148
0.529 0.750 0.852
0.664 0.250 0.421
0.779 0.750 0.661
0.804 0.250 0.996
0.854 0.750 0.227
```

=====

Entry 9:
PuTl3Br8: simulated powder diffraction line list (Cu Kα (weighted mean of Kα1 and Kα2)), based on the GGA-PBE geometry in Alexandria.

Peak list (12 most intense, 2θ = 10–80°, by angle)
d/Å  2θ/deg  I_rel
7.084  12.50  86
5.630  15.74  70
3.880  22.92  36
3.602  24.72  19
3.314  26.91  58
3.109  28.71  100
2.355  38.22  15
2.319  38.83  18
2.267  39.75  74
2.095  43.18  17
1.900  47.88  17
1.770  51.63  23

Structural model:
```
PuTl3Br8
1.0
4.190 -6.627 0.000
4.190 6.627 0.000
0.000 0.000 9.276
Pu Tl Br
1 3 8
Direct
0.000 0.000 0.000
0.000 0.000 0.500
0.000 0.500 0.274
0.500 0.000 0.726
0.208 0.792 0.000
0.228 0.241 0.209
0.241 0.228 0.791
0.250 0.750 0.500
0.750 0.250 0.500
0.759 0.772 0.791
0.772 0.759 0.209
0.792 0.208 0.000
```

=====

Entry 10:
Pu6Tl4Br19: simulated powder diffraction line list (Cu Kα (weighted mean of Kα1 and Kα2)), based on the GGA-PBE geometry in Alexandria.

Peak list (12 most intense, 2θ = 10–80°, by angle)
d/Å  2θ/deg  I_rel
5.267  16.83  42
4.080  21.78  94
3.448  25.84  100
3.041  29.37  80
2.634  34.04  44
2.530  35.48  84
2.355  38.21  28
2.150  42.02  61
2.093  43.23  39
1.638  56.13  25
1.520  60.93  27
1.500  61.86  28

Structural model:
```
Pu6Tl4Br19
1.0
-6.451 6.451 6.451
6.451 -6.451 6.451
6.451 6.451 -6.451
Pu Tl Br
6 4 19
Direct
0.171 0.671 0.500
0.329 0.500 0.829
0.500 0.171 0.671
0.500 0.829 0.329
0.671 0.500 0.171
0.829 0.329 0.500
0.000 0.000 0.706
0.000 0.706 0.000
0.294 0.294 0.294
0.706 0.000 0.000
0.000 0.000 0.000
0.000 0.351 0.351
0.000 0.649 0.649
0.024 0.352 0.767
0.233 0.584 0.257
0.257 0.233 0.584
0.327 0.976 0.743
0.351 0.000 0.351
0.351 0.351 0.000
0.352 0.767 0.024
0.416 0.648 0.673
0.584 0.257 0.233
0.648 0.673 0.416
0.649 0.000 0.649
0.649 0.649 0.000
0.673 0.416 0.648
0.743 0.327 0.976
0.767 0.024 0.352
0.976 0.743 0.327
```

=====

Entry 11:
RbBr: simulated powder diffraction line list (Cu Kα (weighted mean of Kα1 and Kα2)), based on the GGA-PBE geometry in Alexandria.

Peak list (6 most intense, 2θ = 10–80°, by angle)
d/Å  2θ/deg  I_rel
2.963  30.17  100
2.095  43.19  18
1.710  53.58  38
1.481  62.72  12
1.325  71.17  16
1.209  79.20  4

Structural model:
```
RbBr
1.0
4.190 0.000 0.000
0.000 4.190 0.000
0.000 0.000 4.190
Rb Br
1 1
Direct
0.000 0.000 0.000
0.500 0.500 0.500
```

=====

Entry 12:
Rb2ReBr7: simulated powder diffraction line list (Cu Kα (weighted mean of Kα1 and Kα2)), based on the GGA-PBE geometry in Alexandria.

Peak list (12 most intense, 2θ = 10–80°, by angle)
d/Å  2θ/deg  I_rel
6.697  13.22  76
5.800  15.28  77
4.101  21.67  85
3.348  26.62  50
2.911  30.72  50
2.894  30.89  100
2.229  40.47  27
2.052  44.13  65
2.047  44.26  32
1.831  49.80  21
1.674  54.84  30
1.295  73.06  21

Structural model:
```
Rb2ReBr7
1.0
-4.093 4.093 5.821
4.093 -4.093 5.821
4.093 4.093 -5.821
Rb Re Br
2 1 7
Direct
0.250 0.750 0.500
0.750 0.250 0.500
0.000 0.000 0.000
0.217 0.217 0.000
0.218 0.218 0.436
0.218 0.782 0.000
0.500 0.500 0.000
0.782 0.218 0.000
0.782 0.782 0.564
0.783 0.783 0.000
```